Diffraction record for NpUTeS2. The PXRD pattern is simulated, not measured: it uses DFT lattice parameters and positions (GGA-PBE) and a wavelength of 1.5418 Å.

The 10 most intense peaks (10° ≤ 2θ ≤ 80°), most intense first:
| 2θ (°) | I/Imax | h k l |
| --- | --- | --- |
| 31.04 | 100.0 | 2 1 -1 |
| 22.58 | 58.2 | 0 0 2 |
| 24.75 | 52.4 | 0 1 1 |
| 39.64 | 45.3 | 2 1 -3 |
| 29.49 | 29.4 | 1 1 1 |
| 37.78 | 24.9 | 2 1 1 |
| 44.82 | 24.9 | 0 2 0 |
| 35.93 | 24.2 | 3 0 0 |
| 25.14 | 23.7 | 2 0 -2 |
| 48.06 | 23.4 | 3 1 1 |

abc: 8.2323 4.0442 8.6479
angles: 90.00 114.38 90.00
Space group P2_1/m (No. 11)
Symmetry-distinct sites (fractional):
Np  0.1919  0.2500  0.1906 [2 per cell]
U  0.2043  0.7500  0.7244 [2 per cell]
Te  0.4549  0.7500  0.1567 [2 per cell]
S  0.0500  0.2500  0.8474 [2 per cell]
S  0.1647  0.2500  0.4916 [2 per cell]

***

Diffraction record for Th2Np2S7. The PXRD pattern is simulated, not measured: it uses DFT lattice parameters and positions (GGA-PBE) and a wavelength of 1.5418 Å.

The 10 most intense peaks (10° ≤ 2θ ≤ 80°), most intense first:
| 2θ (°) | I/Imax | h k l |
| --- | --- | --- |
| 24.16 | 100.0 | 0 2 2 |
| 35.39 | 78.0 | 1 4 1 |
| 27.59 | 61.2 | 1 2 1 |
| 24.50 | 57.6 | 1 0 1 |
| 40.67 | 54.0 | 1 2 3 |
| 25.15 | 45.4 | 0 4 0 |
| 43.72 | 29.2 | 0 6 2 |
| 51.95 | 28.4 | 2 2 2 |
| 45.26 | 19.7 | 2 0 0 |
| 64.74 | 18.6 | 2 6 2 |

abc: 4.0072 14.1633 8.6245
angles: 90.00 90.00 90.00
Space group Imm2 (No. 44)
Symmetry-distinct sites (fractional):
Th  0.0000  0.2416  0.0000 [4 per cell]
Np  0.0000  0.0000  0.2444 [2 per cell]
Np  0.0000  0.5000  0.1990 [2 per cell]
S  0.0000  0.0000  0.9249 [2 per cell]
S  0.0000  0.1090  0.5231 [4 per cell]
S  0.0000  0.3173  0.3025 [4 per cell]
S  0.0000  0.3621  0.6948 [4 per cell]

***

Diffraction record for Np3TlS6. The PXRD pattern is simulated, not measured: it uses DFT lattice parameters and positions (GGA-PBE) and a wavelength of 1.5418 Å.

The 10 most intense peaks (10° ≤ 2θ ≤ 80°), most intense first:
| 2θ (°) | I/Imax | h k l |
| --- | --- | --- |
| 25.43 | 100.0 | 0 0 2 |
| 26.01 | 49.6 | 1 3 1 |
| 44.10 | 25.8 | 3 5 0 |
| 37.01 | 21.7 | 3 1 2 |
| 50.33 | 21.7 | 5 3 1 |
| 29.44 | 17.0 | 3 1 1 |
| 51.56 | 15.7 | 3 5 2 |
| 44.75 | 14.0 | 2 2 3 |
| 26.49 | 13.8 | 3 1 0 |
| 33.83 | 13.6 | 2 2 2 |

abc: 10.4691 12.7003 7.0201
angles: 90.00 90.00 90.00
Space group Cmc2_1 (No. 36)
Symmetry-distinct sites (fractional):
Np  0.0000  0.0992  0.0000 [4 per cell]
Np  0.1858  0.3998  0.9022 [8 per cell]
Tl  0.0000  0.2952  0.3941 [4 per cell]
S  0.0000  0.2728  0.7995 [4 per cell]
S  0.0000  0.4863  0.1403 [4 per cell]
S  0.1591  0.0371  0.7056 [8 per cell]
S  0.2078  0.2185  0.1199 [8 per cell]

***

Diffraction record for NpTl2S3. The PXRD pattern is simulated, not measured: it uses DFT lattice parameters and positions (GGA-PBE) and a wavelength of 1.5418 Å.

The 10 most intense peaks (10° ≤ 2θ ≤ 80°), most intense first:
| 2θ (°) | I/Imax | h k l |
| --- | --- | --- |
| 29.55 | 100.0 | 2 0 6 |
| 24.75 | 90.2 | 2 2 0 |
| 42.38 | 75.3 | 2 4 6 |
| 26.34 | 73.6 | 0 2 6 |
| 29.69 | 51.3 | 0 4 0 |
| 50.73 | 35.3 | 4 4 0 |
| 48.70 | 34.2 | 4 2 6 |
| 51.39 | 25.7 | 2 2 12 |
| 66.58 | 23.0 | 6 0 6 |
| 40.20 | 20.9 | 4 0 0 |

abc: 8.9733 12.0357 24.5469
angles: 90.00 90.00 90.00
Space group Fddd (No. 70, origin choice 2)
Symmetry-distinct sites (fractional):
Np  0.1250  0.1250  0.0403 [16 per cell]
Tl  0.1250  0.1250  0.3784 [16 per cell]
Tl  0.1250  0.1250  0.5483 [16 per cell]
S  0.0635  0.3750  0.3750 [16 per cell]
S  0.1046  0.3510  0.2192 [32 per cell]

***

Diffraction record for NpTl5S4. The PXRD pattern is simulated, not measured: it uses DFT lattice parameters and positions (GGA-PBE) and a wavelength of 1.5418 Å.

The 10 most intense peaks (10° ≤ 2θ ≤ 80°), most intense first:
| 2θ (°) | I/Imax | h k l |
| --- | --- | --- |
| 30.39 | 100.0 | 1 1 -2 |
| 26.45 | 63.7 | 3 1 0 |
| 25.07 | 33.6 | 4 0 -2 |
| 26.97 | 28.9 | 2 0 2 |
| 42.29 | 22.6 | 7 1 -2 |
| 44.71 | 21.0 | 5 1 2 |
| 51.38 | 15.1 | 4 2 -2 |
| 44.05 | 13.2 | 0 2 0 |
| 54.45 | 12.2 | 6 2 0 |
| 42.99 | 10.2 | 2 0 -4 |

abc: 18.5095 4.1114 8.4392
angles: 90.00 107.48 90.00
Space group C2/m (No. 12)
Symmetry-distinct sites (fractional):
Np  0.0000  0.0000  0.0000 [2 per cell]
Tl  0.0000  0.0000  0.5000 [2 per cell]
Tl  0.1568  0.5000  0.8016 [4 per cell]
Tl  0.1809  0.5000  0.3142 [4 per cell]
S  0.0166  0.5000  0.2244 [4 per cell]
S  0.1546  0.0000  0.0504 [4 per cell]

***

Diffraction record for Np3Tl4ZnS8. The PXRD pattern is simulated, not measured: it uses DFT lattice parameters and positions (GGA-PBE) and a wavelength of 1.5418 Å.

The 10 most intense peaks (10° ≤ 2θ ≤ 80°), most intense first:
| 2θ (°) | I/Imax | h k l |
| --- | --- | --- |
| 30.36 | 100.0 | 0 2 4 |
| 26.99 | 69.2 | 2 0 2 |
| 41.41 | 39.1 | 2 0 8 |
| 23.75 | 34.4 | 0 0 6 |
| 45.44 | 34.1 | 2 2 0 |
| 51.91 | 27.5 | 2 2 6 |
| 48.30 | 19.1 | 0 2 10 |
| 55.63 | 18.2 | 4 0 4 |
| 68.73 | 15.5 | 2 2 12 |
| 74.57 | 15.4 | 2 4 4 |

abc: 7.9834 7.9834 22.4764
angles: 90.00 90.00 120.00
Space group R-3m (No. 166, hexagonal axes)
Symmetry-distinct sites (fractional):
Np  0.0000  0.5000  0.0000 [9 per cell]
Tl  0.0000  0.0000  0.5000 [3 per cell]
Tl  0.0000  0.5000  0.5000 [9 per cell]
Zn  0.0000  0.0000  0.0000 [3 per cell]
S  0.0000  0.0000  0.2683 [6 per cell]
S  0.0082  0.5041  0.7301 [18 per cell]

***

Repeat the first record exactly.
Diffraction record for NpUTeS2. The PXRD pattern is simulated, not measured: it uses DFT lattice parameters and positions (GGA-PBE) and a wavelength of 1.5418 Å.

The 10 most intense peaks (10° ≤ 2θ ≤ 80°), most intense first:
| 2θ (°) | I/Imax | h k l |
| --- | --- | --- |
| 31.04 | 100.0 | 2 1 -1 |
| 22.58 | 58.2 | 0 0 2 |
| 24.75 | 52.4 | 0 1 1 |
| 39.64 | 45.3 | 2 1 -3 |
| 29.49 | 29.4 | 1 1 1 |
| 37.78 | 24.9 | 2 1 1 |
| 44.82 | 24.9 | 0 2 0 |
| 35.93 | 24.2 | 3 0 0 |
| 25.14 | 23.7 | 2 0 -2 |
| 48.06 | 23.4 | 3 1 1 |

abc: 8.2323 4.0442 8.6479
angles: 90.00 114.38 90.00
Space group P2_1/m (No. 11)
Symmetry-distinct sites (fractional):
Np  0.1919  0.2500  0.1906 [2 per cell]
U  0.2043  0.7500  0.7244 [2 per cell]
Te  0.4549  0.7500  0.1567 [2 per cell]
S  0.0500  0.2500  0.8474 [2 per cell]
S  0.1647  0.2500  0.4916 [2 per cell]

***

Copy entry 5 word for word.
Diffraction record for NpTl5S4. The PXRD pattern is simulated, not measured: it uses DFT lattice parameters and positions (GGA-PBE) and a wavelength of 1.5418 Å.

The 10 most intense peaks (10° ≤ 2θ ≤ 80°), most intense first:
| 2θ (°) | I/Imax | h k l |
| --- | --- | --- |
| 30.39 | 100.0 | 1 1 -2 |
| 26.45 | 63.7 | 3 1 0 |
| 25.07 | 33.6 | 4 0 -2 |
| 26.97 | 28.9 | 2 0 2 |
| 42.29 | 22.6 | 7 1 -2 |
| 44.71 | 21.0 | 5 1 2 |
| 51.38 | 15.1 | 4 2 -2 |
| 44.05 | 13.2 | 0 2 0 |
| 54.45 | 12.2 | 6 2 0 |
| 42.99 | 10.2 | 2 0 -4 |

abc: 18.5095 4.1114 8.4392
angles: 90.00 107.48 90.00
Space group C2/m (No. 12)
Symmetry-distinct sites (fractional):
Np  0.0000  0.0000  0.0000 [2 per cell]
Tl  0.0000  0.0000  0.5000 [2 per cell]
Tl  0.1568  0.5000  0.8016 [4 per cell]
Tl  0.1809  0.5000  0.3142 [4 per cell]
S  0.0166  0.5000  0.2244 [4 per cell]
S  0.1546  0.0000  0.0504 [4 per cell]